Entry 1:
Theoretical powder diffractogram
Compound: La8Sm3In2
Radiation: Cu Kα, 1.54184 Å
Structure: a crystal structure in Alexandria, relaxed with PBE
Lines closer than 0.1° are merged.

Principal peaks in the range 10° ≤ 2θ ≤ 90°, in order of falling intensity:
2θ/deg	Rel. int.
30.1	100
30.5	96
34.6	34
35.2	33
35.6	31
59.7	26
50.8	22
50.4	21
58.9	13
60.5	12

Lattice parameters (Å, degrees): 8.0067 8.0621 8.1353 106.07 107.90 107.78
Fractional coordinates of all 13 atoms:
1 La 0.1442 0.3511 0.0420
2 La 0.2093 0.5700 0.7525
3 La 0.2804 0.8071 0.4109
4 La 0.3417 0.0224 0.1039
5 La 0.6583 0.9776 0.8961
6 La 0.7196 0.1929 0.5891
7 La 0.7907 0.4300 0.2475
8 La 0.8558 0.6489 0.9580
9 Sm 0.0372 0.1174 0.3615
10 Sm 0.5000 0.5000 0.5000
11 Sm 0.9628 0.8826 0.6385
12 In 0.4074 0.2457 0.7862
13 In 0.5926 0.7543 0.2138

***

Entry 2:
Theoretical powder diffractogram
Compound: RbTh2P3O12
Radiation: Cu Kα, 1.54184 Å
Structure: a crystal structure in Alexandria, relaxed with PBE
Lines closer than 0.1° are merged.

Principal peaks in the range 10° ≤ 2θ ≤ 90°, in order of falling intensity:
2θ/deg	Rel. int.
28.9	100
19.8	74
26.6	68
30.6	51
13.7	48
18.3	44
26.3	39
25.1	34
32.3	32
41.1	30

Lattice parameters (Å, degrees): 9.6406 9.6406 8.2490 101.75 101.75 42.30
Fractional coordinates of all 36 atoms:
1 Rb 0.0941 0.9059 0.7500
2 Rb 0.9059 0.0941 0.2500
3 Th 0.2509 0.4403 0.9671
4 Th 0.4403 0.2509 0.4671
5 Th 0.5597 0.7491 0.5329
6 Th 0.7491 0.5597 0.0329
7 P 0.1004 0.2841 0.6820
8 P 0.2841 0.1004 0.1820
9 P 0.4054 0.5946 0.2500
10 P 0.5946 0.4054 0.7500
11 P 0.7160 0.8996 0.8180
12 P 0.8996 0.7160 0.3180
13 O 0.0516 0.2381 0.1497
14 O 0.0517 0.3573 0.8699
15 O 0.1023 0.5867 0.4295
16 O 0.2245 0.3290 0.6702
17 O 0.2381 0.0516 0.6497
18 O 0.2565 0.6881 0.0909
19 O 0.3119 0.7435 0.4091
20 O 0.3290 0.2245 0.1702
21 O 0.3573 0.0517 0.3699
22 O 0.3977 0.4595 0.7575
23 O 0.4133 0.8977 0.0705
24 O 0.4595 0.3977 0.2575
25 O 0.5405 0.6023 0.7425
26 O 0.5867 0.1023 0.9295
27 O 0.6023 0.5405 0.2425
28 O 0.6427 0.9483 0.6301
29 O 0.6710 0.7755 0.8298
30 O 0.6881 0.2565 0.5909
31 O 0.7435 0.3119 0.9091
32 O 0.7619 0.9484 0.3503
33 O 0.7755 0.6710 0.3298
34 O 0.8977 0.4133 0.5705
35 O 0.9483 0.6427 0.1301
36 O 0.9484 0.7619 0.8503

***

Entry 3:
Theoretical powder diffractogram
Compound: NaNb3O7
Radiation: Cu Kα, 1.54184 Å
Structure: a crystal structure in Alexandria, relaxed with PBE
Lines closer than 0.1° are merged.

Principal peaks in the range 10° ≤ 2θ ≤ 90°, in order of falling intensity:
2θ/deg	Rel. int.
22.8	100
41.9	62
48.3	51
29.2	43
29.4	40
16.2	34
64.5	30
46.6	23
14.6	21
37.6	20

Lattice parameters (Å, degrees): 6.7973 6.7973 3.8947 90.00 90.00 126.54
Fractional coordinates of all 11 atoms:
1 Na 0.0000 0.0000 0.0000
2 Nb 0.2512 0.7488 0.0000
3 Nb 0.5000 0.5000 0.0000
4 Nb 0.7488 0.2512 0.0000
5 O 0.1371 0.3896 0.0000
6 O 0.2309 0.7691 0.5000
7 O 0.3896 0.1371 0.0000
8 O 0.5000 0.5000 0.5000
9 O 0.6104 0.8629 0.0000
10 O 0.7691 0.2309 0.5000
11 O 0.8629 0.6104 0.0000

***

Entry 4:
Theoretical powder diffractogram
Compound: CaHgOs2O8
Radiation: Cu Kα, 1.54184 Å
Structure: a crystal structure in Alexandria, relaxed with PBE
Lines closer than 0.1° are merged.

Principal peaks in the range 10° ≤ 2θ ≤ 90°, in order of falling intensity:
2θ/deg	Rel. int.
19.2	100
27.1	64
27.6	32
35.6	31
11.3	29
33.4	26
43.5	22
37.9	18
22.7	13
47.8	13

Lattice parameters (Å, degrees): 6.5892 6.5892 7.8362 90.00 90.00 120.00
Fractional coordinates of all 12 atoms:
1 Ca 0.0000 0.0000 0.0000
2 Hg 0.0000 0.0000 0.5000
3 Os 0.3333 0.6667 0.9185
4 Os 0.6667 0.3333 0.0815
5 O 0.1846 0.3693 0.8522
6 O 0.1846 0.8154 0.8522
7 O 0.3333 0.6667 0.1408
8 O 0.3693 0.1846 0.1478
9 O 0.6307 0.8154 0.8522
10 O 0.6667 0.3333 0.8592
11 O 0.8154 0.1846 0.1478
12 O 0.8154 0.6307 0.1478

***

Entry 5:
Theoretical powder diffractogram
Compound: ZrIn3
Radiation: Cu Kα, 1.54184 Å
Structure: a crystal structure in Alexandria, relaxed with PBE
Lines closer than 0.1° are merged.

Principal peaks in the range 10° ≤ 2θ ≤ 90°, in order of falling intensity:
2θ/deg	Rel. int.
34.7	100
42.2	29
56.8	23
36.2	22
72.2	22
64.1	16
73.2	11
61.1	9
76.8	2
22.6	1

Lattice parameters (Å, degrees): 5.8158 5.8158 5.8158 136.75 136.75 62.83
Fractional coordinates of all 4 atoms:
1 Zr 0.0000 0.0000 0.0000
2 In 0.2500 0.7500 0.5000
3 In 0.5000 0.5000 0.0000
4 In 0.7500 0.2500 0.5000

***

Entry 6:
Theoretical powder diffractogram
Compound: Cs4Cd5Ag2
Radiation: Cu Kα, 1.54184 Å
Structure: a crystal structure in Alexandria, relaxed with PBE
Lines closer than 0.1° are merged.

Principal peaks in the range 10° ≤ 2θ ≤ 90°, in order of falling intensity:
2θ/deg	Rel. int.
26.3	100
27.0	98
26.7	87
29.6	82
38.7	31
49.5	29
38.1	22
39.6	22
50.2	22
49.0	21

Lattice parameters (Å, degrees): 7.9083 6.0290 9.4627 90.00 91.49 90.00
Fractional coordinates of all 11 atoms:
1 Cs 0.2310 0.0000 0.1403
2 Cs 0.2447 0.0000 0.6179
3 Cs 0.7553 0.0000 0.3821
4 Cs 0.7690 0.0000 0.8597
5 Cd 0.1339 0.5000 0.8861
6 Cd 0.4348 0.5000 0.3398
7 Cd 0.5000 0.5000 0.0000
8 Cd 0.5652 0.5000 0.6602
9 Cd 0.8661 0.5000 0.1139
10 Ag 0.0703 0.5000 0.3662
11 Ag 0.9297 0.5000 0.6338